[1]
This entry pairs a crystal structure of NbV3O8 with its computed powder diffraction line list. Radiation: Cu Ka. Structure: a GGA+U-relaxed structure.
Intensities are scaled so that the largest is 100.

Atomic structure:
Unit cell a=5.963 b=5.980 c=9.399 alpha=90.07 beta=90.22 gamma=119.00
Space group P1 (No. 1)
Unique sites:
1 Nb 0.000 0.000 0.000 (multiplicity 1)
2 Nb 0.330 0.721 0.501 (multiplicity 1)
3 V 0.007 0.497 0.779 (multiplicity 1)
4 V 0.321 0.220 0.283 (multiplicity 1)
5 V 0.496 0.005 0.794 (multiplicity 1)
6 V 0.499 0.518 0.780 (multiplicity 1)
7 V 0.828 0.197 0.287 (multiplicity 1)
8 V 0.834 0.711 0.284 (multiplicity 1)
9 O 0.008 0.536 0.402 (multiplicity 1)
10 O 0.142 0.883 0.165 (multiplicity 1)
11 O 0.157 0.319 0.162 (multiplicity 1)
12 O 0.178 0.388 0.663 (multiplicity 1)
13 O 0.180 0.819 0.666 (multiplicity 1)
14 O 0.324 0.174 0.902 (multiplicity 1)
15 O 0.326 0.651 0.893 (multiplicity 1)
16 O 0.482 0.033 0.398 (multiplicity 1)
17 O 0.490 0.538 0.399 (multiplicity 1)
18 O 0.610 0.815 0.661 (multiplicity 1)
19 O 0.662 0.355 0.696 (multiplicity 1)
20 O 0.667 0.384 0.197 (multiplicity 1)
21 O 0.718 0.892 0.160 (multiplicity 1)
22 O 0.839 0.180 0.899 (multiplicity 1)
23 O 0.842 0.686 0.896 (multiplicity 1)
24 O 0.995 0.022 0.393 (multiplicity 1)

Peak list (12 most intense, 2θ = 10–90°, by angle)
18.88°, rel. 41, (0 0 2)
19.42°, rel. 100, (1 0 -1)
19.51°, rel. 35, (1 0 1)
19.67°, rel. 86, (-1 1 1)
25.48°, rel. 49, (0 1 2)
33.29°, rel. 23, (1 0 -3)
33.44°, rel. 34, (-1 1 3)
35.61°, rel. 75, (1 -2 2)
35.73°, rel. 39, (2 -1 2)
45.10°, rel. 20, (2 0 -3)
60.57°, rel. 23, (0 2 -5)
61.14°, rel. 25, (2 2 0)


[2]
This entry pairs a crystal structure of SrLiCrF6 with its computed powder diffraction line list. Radiation: Cu Ka. Structure: a GGA+U-relaxed structure.
Intensities are scaled so that the largest is 100.

Atomic structure:
Unit cell a=5.2872 b=5.2872 c=10.5152 alpha=90.00 beta=90.00 gamma=120.00
Space group P-31c (No. 163)
Unique sites:
1 Sr 0.0000 0.0000 0.0000 (multiplicity 2)
2 Li 0.3333 0.6667 0.2500 (multiplicity 2)
3 Cr 0.3333 0.6667 0.7500 (multiplicity 2)
4 F 0.0181 0.3737 0.8546 (multiplicity 12)

Peak list (12 most intense, 2θ = 10–90°, by angle)
19.39°, rel. 13, (1 0 0)
21.16°, rel. 27, (1 0 1)
25.80°, rel. 100, (1 0 2)
33.91°, rel. 14, (1 1 0)
38.10°, rel. 25, (1 1 2)
39.53°, rel. 11, (1 0 4)
43.09°, rel. 20, (2 0 2)
48.86°, rel. 44, (2 -1 4)
55.93°, rel. 22, (3 -1 2)
56.20°, rel. 9, (1 0 6)
60.68°, rel. 16, (3 0 0)
77.29°, rel. 9, (3 1 2)


[3]
This entry pairs a crystal structure of FeOF with its computed powder diffraction line list. Radiation: Cu Ka. Structure: a GGA+U-relaxed structure.
Intensities are scaled so that the largest is 100.

Atomic structure:
Unit cell a=9.506 b=3.097 c=14.346 alpha=90.00 beta=90.68 gamma=90.00
Space group Pm (No. 6)
Unique sites:
1 Fe 0.000 0.000 0.000 (multiplicity 1)
2 Fe 0.001 0.000 0.339 (multiplicity 1)
3 Fe 0.202 0.500 0.172 (multiplicity 1)
4 Fe 0.205 0.500 0.509 (multiplicity 1)
5 Fe 0.209 0.500 0.834 (multiplicity 1)
6 Fe 0.490 0.000 0.008 (multiplicity 1)
7 Fe 0.499 0.000 0.336 (multiplicity 1)
8 Fe 0.501 0.000 0.670 (multiplicity 1)
9 Fe 0.709 0.500 0.503 (multiplicity 1)
10 Fe 0.710 0.500 0.169 (multiplicity 1)
11 Fe 0.741 0.500 0.814 (multiplicity 1)
12 Fe 0.990 0.000 0.673 (multiplicity 1)
13 O 0.074 0.500 0.273 (multiplicity 1)
14 O 0.077 0.500 0.606 (multiplicity 1)
15 O 0.080 0.500 0.939 (multiplicity 1)
16 O 0.134 0.000 0.105 (multiplicity 1)
17 O 0.134 0.000 0.440 (multiplicity 1)
18 O 0.141 0.000 0.773 (multiplicity 1)
19 O 0.577 0.500 0.269 (multiplicity 1)
20 O 0.578 0.500 0.606 (multiplicity 1)
21 O 0.629 0.000 0.100 (multiplicity 1)
22 O 0.632 0.000 0.438 (multiplicity 1)
23 O 0.632 0.000 0.775 (multiplicity 1)
24 O 0.889 0.500 0.732 (multiplicity 1)
25 F 0.327 0.000 0.234 (multiplicity 1)
26 F 0.329 0.000 0.570 (multiplicity 1)
27 F 0.338 0.000 0.907 (multiplicity 1)
28 F 0.384 0.500 0.067 (multiplicity 1)
29 F 0.385 0.500 0.399 (multiplicity 1)
30 F 0.385 0.500 0.737 (multiplicity 1)
31 F 0.575 0.500 0.940 (multiplicity 1)
32 F 0.824 0.000 0.232 (multiplicity 1)
33 F 0.825 0.000 0.563 (multiplicity 1)
34 F 0.827 0.000 0.905 (multiplicity 1)
35 F 0.881 0.500 0.069 (multiplicity 1)
36 F 0.882 0.500 0.400 (multiplicity 1)

Peak list (12 most intense, 2θ = 10–90°, by angle)
26.28°, rel. 95, (2 0 -3)
26.60°, rel. 94, (2 0 3)
34.54°, rel. 100, (0 1 3)
39.40°, rel. 19, (2 1 -3)
39.62°, rel. 20, (2 1 3)
51.83°, rel. 29, (2 1 -6)
51.97°, rel. 25, (4 1 -3)
52.19°, rel. 28, (2 1 6)
52.33°, rel. 25, (4 1 3)
59.72°, rel. 18, (0 2 0)
65.91°, rel. 21, (0 1 9)
66.27°, rel. 15, (6 1 0)